(1)
This entry pairs a crystal structure of Co2N with its simulated powder diffraction line list. Radiation: λ = 1.5418 Å (Cu Kα). Structure: DFT lattice parameters and positions (PBE).
Neutral-atom scattering factors, no anomalous dispersion.

Structure:
```
data_Co2N
_chemical_formula_sum 'Co4 N2'
_cell_length_a 4.292
_cell_length_b 4.539
_cell_length_c 2.839
_cell_angle_alpha 90.00
_cell_angle_beta 90.00
_cell_angle_gamma 90.00
_symmetry_space_group_name_H-M 'P n n m'
_symmetry_Int_Tables_number 58
loop_
_symmetry_equiv_pos_as_xyz
'x,y,z'
'-x,-y,-z'
'-x,-y,z'
'x,y,-z'
'x+1/2,-y+1/2,-z+1/2'
'-x+1/2,y+1/2,z+1/2'
'-x+1/2,y+1/2,-z+1/2'
'x+1/2,-y+1/2,z+1/2'
loop_
_atom_site_label
_atom_site_type_symbol
_atom_site_fract_x
_atom_site_fract_y
_atom_site_fract_z
_atom_site_occupancy
Co1 Co 0.229 0.175 0.000 1
N1 N 0.000 0.000 0.500 1
```

Main lines, by angle (15° ≤ 2θ ≤ 90°):
- 2θ = 37.4°, d = 2.407 Å, I = 116, hkl 0 1 1
- 2θ = 39.7°, d = 2.270 Å, I = 97, hkl 0 2 0
- 2θ = 42.1°, d = 2.146 Å, I = 256, hkl 2 0 0
- 2θ = 43.1°, d = 2.099 Å, I = 1000, hkl 1 1 1
- 2θ = 45.2°, d = 2.006 Å, I = 353, hkl 1 2 0
- 2θ = 57.5°, d = 1.602 Å, I = 141, hkl 2 1 1
- 2θ = 59.3°, d = 1.559 Å, I = 100, hkl 2 2 0
- 2θ = 65.8°, d = 1.419 Å, I = 96, hkl 0 0 2
- 2θ = 70.5°, d = 1.335 Å, I = 149, hkl 0 3 1
- 2θ = 77.6°, d = 1.230 Å, I = 132, hkl 3 1 1
- 2θ = 83.4°, d = 1.159 Å, I = 102, hkl 1 2 2
- 2θ = 85.7°, d = 1.134 Å, I = 114, hkl 2 3 1

(2)
This entry pairs a crystal structure of Nb4Co2N with its simulated powder diffraction line list. Radiation: λ = 1.5418 Å (Cu Kα). Structure: DFT lattice parameters and positions (PBE).
Neutral-atom scattering factors, no anomalous dispersion.

Structure:
Cell: 11.640 11.640 11.640 Å, 90.00 90.00 90.00°
Space group Fd-3m (No. 227, origin choice 2)
Inequivalent atoms, fractional coordinates:
1 Nb 0.000 0.000 0.000 (multiplicity 16)
2 Nb 0.061 0.375 0.875 (multiplicity 48)
3 Co 0.046 0.046 0.204 (multiplicity 32)
4 N 0.000 0.000 0.500 (multiplicity 16)

Main lines, by angle (15° ≤ 2θ ≤ 90°):
- 2θ = 33.6°, d = 2.670 Å, I = 247, hkl 3 3 1
- 2θ = 37.9°, d = 2.376 Å, I = 404, hkl 4 2 2
- 2θ = 40.3°, d = 2.240 Å, I = 1000, hkl 3 3 3
- 2θ = 44.0°, d = 2.058 Å, I = 267, hkl 4 4 0
- 2θ = 46.8°, d = 1.940 Å, I = 71, hkl 4 4 2
- 2θ = 52.1°, d = 1.755 Å, I = 102, hkl 6 2 2
- 2θ = 56.5°, d = 1.630 Å, I = 49, hkl 5 5 1
- 2θ = 65.7°, d = 1.422 Å, I = 90, hkl 7 3 3
- 2θ = 68.4°, d = 1.372 Å, I = 375, hkl 6 6 0
- 2θ = 70.0°, d = 1.344 Å, I = 97, hkl 5 5 5
- 2θ = 82.4°, d = 1.170 Å, I = 187, hkl 9 3 3
- 2θ = 87.0°, d = 1.120 Å, I = 58, hkl 10 2 2

(3)
This entry pairs a crystal structure of Nb5CoN9 with its simulated powder diffraction line list. Radiation: λ = 1.5418 Å (Cu Kα). Structure: DFT lattice parameters and positions (PBE).
Neutral-atom scattering factors, no anomalous dispersion.

Structure:
```
data_Nb5CoN9
_chemical_formula_sum 'Nb20 Co4 N36'
_cell_length_a 9.474
_cell_length_b 5.371
_cell_length_c 16.213
_cell_angle_alpha 90.00
_cell_angle_beta 125.53
_cell_angle_gamma 90.00
_symmetry_space_group_name_H-M 'P 1 21/c 1'
_symmetry_Int_Tables_number 14
loop_
_symmetry_equiv_pos_as_xyz
'x,y,z'
'-x,-y,-z'
'-x,y+1/2,-z+1/2'
'x,-y+1/2,z+1/2'
loop_
_atom_site_label
_atom_site_type_symbol
_atom_site_fract_x
_atom_site_fract_y
_atom_site_fract_z
_atom_site_occupancy
Nb1 Nb 0.137 0.046 0.433 1
Nb2 Nb 0.167 0.529 0.721 1
Nb3 Nb 0.204 0.004 0.827 1
Nb4 Nb 0.321 0.532 0.548 1
Nb5 Nb 0.354 0.530 0.178 1
Co1 Co 0.000 0.000 0.000 1
Co2 Co 0.500 0.000 0.500 1
N1 N 0.031 0.172 0.287 1
N2 N 0.086 0.655 0.424 1
N3 N 0.094 0.718 0.104 1
N4 N 0.190 0.248 0.058 1
N5 N 0.277 0.177 0.754 1
N6 N 0.313 0.663 0.864 1
N7 N 0.357 0.198 0.966 1
N8 N 0.388 0.594 0.066 1
N9 N 0.401 0.594 0.711 1
```

Main lines, by angle (15° ≤ 2θ ≤ 90°):
- 2θ = 23.1°, d = 3.855 Å, I = 127, hkl 2 0 0
- 2θ = 29.1°, d = 3.070 Å, I = 121, hkl 3 0 -4
- 2θ = 32.3°, d = 2.767 Å, I = 145, hkl 2 1 1
- 2θ = 32.9°, d = 2.722 Å, I = 406, hkl 3 1 -3
- 2θ = 33.0°, d = 2.712 Å, I = 147, hkl 2 0 2
- 2θ = 33.3°, d = 2.690 Å, I = 1000, hkl 1 1 -5
- 2θ = 35.7°, d = 2.517 Å, I = 145, hkl 3 1 -1
- 2θ = 47.3°, d = 1.920 Å, I = 119, hkl 4 0 -8
- 2θ = 47.7°, d = 1.908 Å, I = 128, hkl 2 2 2
- 2θ = 53.4°, d = 1.714 Å, I = 182, hkl 3 1 3
- 2θ = 59.4°, d = 1.557 Å, I = 161, hkl 2 0 -10
- 2θ = 59.6°, d = 1.552 Å, I = 133, hkl 1 3 -5